This entry pairs a crystal structure of Ag2HgP2 with its theoretical XRD peak list. Radiation: CuKα. Structure: a structure optimized by DFT (GGA-PBE).
Neutral-atom scattering factors, no anomalous dispersion.

The 10 most intense peaks (10° ≤ 2θ ≤ 80°), in order of rising 2θ:
2θ (°)	I/Imax	hkl
21.0	56	1 1 1
29.7	100	2 0 2
30.1	24	0 2 0
31.7	23	0 2 1
34.6	30	1 1 3
38.6	13	3 1 1
38.8	18	0 0 4
42.8	35	2 2 2
45.9	18	4 0 0
48.4	29	2 2 3

Crystal structure
```
data_Ag2HgP2
_cell_length_a 7.906
_cell_length_b 5.935
_cell_length_c 9.280
_cell_angle_alpha 90.00
_cell_angle_beta 90.00
_cell_angle_gamma 90.00
_symmetry_space_group_name_H-M 'C m c e'
_symmetry_Int_Tables_number 64
_symmetry_space_group_name_Hall '-C 2ac 2'
loop_
_atom_site_label
_atom_site_fract_x
_atom_site_fract_y
_atom_site_fract_z
Ag1 0.250 0.086 0.250
Hg1 0.000 0.000 0.000
P1 0.000 0.110 0.404
```

This entry pairs a crystal structure of Ag2HgPSe4 with its theoretical XRD peak list. Radiation: CuKα. Structure: a structure optimized by DFT (GGA-PBE).
Neutral-atom scattering factors, no anomalous dispersion.

The 10 most intense peaks (10° ≤ 2θ ≤ 80°), in order of rising 2θ:
2θ (°)	I/Imax	hkl
16.4	8	1 0 1
25.6	100	1 1 2
33.1	8	2 0 2
33.8	8	2 1 1
42.0	24	2 2 0
42.7	47	2 0 4
49.9	30	3 1 2
51.0	14	1 1 6
68.1	11	1 3 6
77.3	14	2 4 4

Crystal structure
```
data_Ag2HgPSe4
_cell_length_a 6.079
_cell_length_b 6.079
_cell_length_c 11.823
_cell_angle_alpha 90.00
_cell_angle_beta 90.00
_cell_angle_gamma 90.00
_symmetry_space_group_name_H-M 'I -4'
_symmetry_Int_Tables_number 82
loop_
_symmetry_equiv_pos_as_xyz
'x,y,z'
'y,-x,-z'
'-x,-y,z'
'-y,x,-z'
'x+1/2,y+1/2,z+1/2'
'y+1/2,-x+1/2,-z+1/2'
'-x+1/2,-y+1/2,z+1/2'
'-y+1/2,x+1/2,-z+1/2'
loop_
_atom_site_label
_atom_site_fract_x
_atom_site_fract_y
_atom_site_fract_z
Ag1 0.000 0.000 0.000
Ag2 0.000 0.500 0.250
Hg1 0.000 0.000 0.500
P1 0.000 0.500 0.750
Se1 0.225 0.267 0.864
```

This entry pairs a crystal structure of PaAgHg with its theoretical XRD peak list. Radiation: CuKα. Structure: a structure optimized by DFT (GGA-PBE).
Neutral-atom scattering factors, no anomalous dispersion.

The 10 most intense peaks (10° ≤ 2θ ≤ 80°), in order of rising 2θ:
2θ (°)	I/Imax	hkl
11.3	9	0 0 1
34.3	32	0 0 3
34.8	100	1 0 1
40.3	64	0 1 2
57.9	24	1 0 4
58.6	21	1 1 0
69.1	12	0 1 5
69.7	25	1 1 3
70.1	13	0 2 1
73.5	11	2 0 2

Crystal structure
```
data_PaAgHg
_cell_length_a 3.1485
_cell_length_b 3.1485
_cell_length_c 7.8447
_cell_angle_alpha 90.00
_cell_angle_beta 90.00
_cell_angle_gamma 120.00
_symmetry_space_group_name_H-M 'P 3 m 1'
_symmetry_Int_Tables_number 156
loop_
_symmetry_equiv_pos_as_xyz
'x,y,z'
'-y,x-y,z'
'-x+y,-x,z'
'-y,-x,z'
'-x+y,y,z'
'x,x-y,z'
loop_
_atom_site_label
_atom_site_fract_x
_atom_site_fract_y
_atom_site_fract_z
Pa1 0.0000 0.0000 0.0000
Ag1 0.3333 0.6667 0.6608
Hg1 0.6667 0.3333 0.3514
```

This entry pairs a crystal structure of PmPaAgHg with its theoretical XRD peak list. Radiation: CuKα. Structure: a structure optimized by DFT (GGA-PBE).
Neutral-atom scattering factors, no anomalous dispersion.

The 10 most intense peaks (10° ≤ 2θ ≤ 80°), in order of rising 2θ:
2θ (°)	I/Imax	hkl
20.6	6	1 1 1
23.9	1	2 0 0
34.0	100	2 2 0
40.1	4	3 1 1
48.8	18	4 0 0
53.6	2	3 3 1
60.8	38	4 2 2
65.0	1	5 1 1
71.6	12	4 4 0
75.4	1	5 3 1

Crystal structure
```
data_PmPaAgHg
_cell_length_a 7.459
_cell_length_b 7.459
_cell_length_c 7.459
_cell_angle_alpha 90.00
_cell_angle_beta 90.00
_cell_angle_gamma 90.00
_symmetry_space_group_name_H-M 'F -4 3 m'
_symmetry_Int_Tables_number 216
_symmetry_space_group_name_Hall 'F -4 2 3'
loop_
_atom_site_label
_atom_site_fract_x
_atom_site_fract_y
_atom_site_fract_z
Pm1 0.000 0.000 0.000
Pa1 0.000 0.000 0.500
Ag1 0.250 0.250 0.750
Hg1 0.250 0.250 0.250
```

This entry pairs a crystal structure of AgHgPb with its theoretical XRD peak list. Radiation: CuKα. Structure: a structure optimized by DFT (GGA-PBE).
Neutral-atom scattering factors, no anomalous dispersion.

The 10 most intense peaks (10° ≤ 2θ ≤ 80°), in order of rising 2θ:
2θ (°)	I/Imax	hkl
26.0	11	1 0 1
34.4	100	1 0 3
35.4	49	1 1 0
47.9	8	0 0 6
48.0	7	1 1 4
50.9	18	2 0 0
60.9	16	1 1 6
62.6	6	1 0 7
62.9	35	2 1 3
72.4	10	2 0 6

Crystal structure
```
data_AgHgPb
_cell_length_a 3.587
_cell_length_b 3.587
_cell_length_c 11.406
_cell_angle_alpha 90.00
_cell_angle_beta 90.00
_cell_angle_gamma 90.00
_symmetry_space_group_name_H-M 'I 4 m m'
_symmetry_Int_Tables_number 107
_symmetry_space_group_name_Hall 'I 4 -2'
loop_
_atom_site_label
_atom_site_fract_x
_atom_site_fract_y
_atom_site_fract_z
Ag1 0.000 0.000 0.000
Hg1 0.000 0.000 0.360
Pb1 0.000 0.000 0.666
```

This entry pairs a crystal structure of PmAgHgPb with its theoretical XRD peak list. Radiation: CuKα. Structure: a structure optimized by DFT (GGA-PBE).
Neutral-atom scattering factors, no anomalous dispersion.

The 10 most intense peaks (10° ≤ 2θ ≤ 80°), in order of rising 2θ:
2θ (°)	I/Imax	hkl
21.2	7	1 0 1
33.3	100	1 1 2
37.9	35	2 0 0
40.1	15	0 0 4
43.8	2	2 1 1
54.7	12	2 2 0
56.4	22	2 0 4
65.6	28	3 1 2
68.5	13	1 1 6
70.0	12	2 2 4

Crystal structure
```
data_PmAgHgPb
_cell_length_a 4.744
_cell_length_b 4.744
_cell_length_c 9.000
_cell_angle_alpha 90.00
_cell_angle_beta 90.00
_cell_angle_gamma 90.00
_symmetry_space_group_name_H-M 'I -4 m 2'
_symmetry_Int_Tables_number 119
_symmetry_space_group_name_Hall 'I -4 -2'
loop_
_atom_site_label
_atom_site_fract_x
_atom_site_fract_y
_atom_site_fract_z
Pm1 0.000 0.000 0.000
Ag1 0.000 0.500 0.750
Hg1 0.000 0.500 0.250
Pb1 0.000 0.000 0.500
```

This entry pairs a crystal structure of Ag2Hg3Pd8 with its theoretical XRD peak list. Radiation: CuKα. Structure: a structure optimized by DFT (GGA-PBE).
Neutral-atom scattering factors, no anomalous dispersion.

The 10 most intense peaks (10° ≤ 2θ ≤ 80°), in order of rising 2θ:
2θ (°)	I/Imax	hkl
18.0	14	0 1 1
38.4	100	0 2 -2
38.8	97	1 1 3
44.5	34	1 3 1
45.1	63	2 -1 2
65.2	12	3 2 3
65.7	29	1 -1 5
77.5	13	1 5 -1
78.4	17	2 4 4
78.7	12	2 -3 4

Crystal structure
```
data_Ag2Hg3Pd8
_cell_length_a 4.949
_cell_length_b 6.440
_cell_length_c 7.508
_cell_angle_alpha 85.50
_cell_angle_beta 77.48
_cell_angle_gamma 81.84
_symmetry_space_group_name_H-M 'P -1'
_symmetry_Int_Tables_number 2
loop_
_symmetry_equiv_pos_as_xyz
'x,y,z'
'-x,-y,-z'
loop_
_atom_site_label
_atom_site_fract_x
_atom_site_fract_y
_atom_site_fract_z
Ag1 0.155 0.219 0.204
Hg1 0.000 0.500 0.500
Hg2 0.386 0.778 0.269
Pd1 0.050 0.360 0.862
Pd2 0.210 0.069 0.571
Pd3 0.277 0.929 0.927
Pd4 0.421 0.647 0.647
```

This entry pairs a crystal structure of AgHg6Pd8 with its theoretical XRD peak list. Radiation: CuKα. Structure: a structure optimized by DFT (GGA-PBE).
Neutral-atom scattering factors, no anomalous dispersion.

The 10 most intense peaks (10° ≤ 2θ ≤ 80°), in order of rising 2θ:
2θ (°)	I/Imax	hkl
25.6	52	1 2 0
35.2	33	3 1 0
35.7	28	2 0 1
39.6	100	1 2 1
42.8	19	3 2 0
45.2	36	4 1 0
45.6	16	2 2 1
55.0	17	1 4 1
74.6	17	6 1 1
79.7	14	4 1 2

Crystal structure
```
data_AgHg6Pd8
_cell_length_a 10.6261
_cell_length_b 10.6261
_cell_length_c 3.0044
_cell_angle_alpha 90.00
_cell_angle_beta 90.00
_cell_angle_gamma 120.00
_symmetry_space_group_name_H-M 'P 6/m'
_symmetry_Int_Tables_number 175
_symmetry_space_group_name_Hall '-P 6'
loop_
_atom_site_label
_atom_site_fract_x
_atom_site_fract_y
_atom_site_fract_z
Ag1 0.0000 0.0000 0.0000
Hg1 0.1115 0.4499 0.0000
Pd1 0.0788 0.7955 0.5000
Pd2 0.3333 0.6667 0.5000
```

This entry pairs a crystal structure of Ag2Hg4Pd5 with its theoretical XRD peak list. Radiation: CuKα. Structure: a structure optimized by DFT (GGA-PBE).
Neutral-atom scattering factors, no anomalous dispersion.

The 10 most intense peaks (10° ≤ 2θ ≤ 80°), in order of rising 2θ:
2θ (°)	I/Imax	hkl
25.0	49	0 2 2
31.9	35	0 1 7
33.5	33	1 1 0
33.9	100	0 0 8
34.6	58	1 1 2
37.7	66	1 1 4
37.9	84	0 3 3
39.7	90	1 2 1
41.7	78	0 3 5
50.1	79	1 2 7

Crystal structure
```
data_Ag2Hg4Pd5
_cell_length_a 2.862
_cell_length_b 7.563
_cell_length_c 21.131
_cell_angle_alpha 90.00
_cell_angle_beta 90.00
_cell_angle_gamma 90.00
_symmetry_space_group_name_H-M 'I m m m'
_symmetry_Int_Tables_number 71
_symmetry_space_group_name_Hall '-I 2 2'
loop_
_atom_site_label
_atom_site_fract_x
_atom_site_fract_y
_atom_site_fract_z
Ag1 0.000 0.000 0.230
Hg1 0.000 0.000 0.363
Hg2 0.000 0.317 0.000
Pd1 0.000 0.178 0.118
Pd2 0.000 0.500 0.500
```

This entry pairs a crystal structure of Ag3HgPd3 with its theoretical XRD peak list. Radiation: CuKα. Structure: a structure optimized by DFT (GGA-PBE).
Neutral-atom scattering factors, no anomalous dispersion.

The 10 most intense peaks (10° ≤ 2θ ≤ 80°), in order of rising 2θ:
2θ (°)	I/Imax	hkl
17.4	21	1 1 0
30.4	22	3 0 0
33.8	69	1 2 2
35.3	36	1 1 3
38.2	71	1 3 1
42.3	100	3 1 2
46.1	34	0 2 4
59.4	17	4 2 2
66.2	24	5 2 0
79.2	20	6 2 1

Crystal structure
```
data_Ag3HgPd3
_cell_length_a 10.1742
_cell_length_b 10.1742
_cell_length_c 8.7938
_cell_angle_alpha 90.00
_cell_angle_beta 90.00
_cell_angle_gamma 120.00
_symmetry_space_group_name_H-M 'R 3 c'
_symmetry_Int_Tables_number 161
_symmetry_space_group_name_Hall 'R 3 -2"c'
loop_
_atom_site_label
_atom_site_fract_x
_atom_site_fract_y
_atom_site_fract_z
Ag1 0.0875 0.3390 0.0000
Hg1 0.0000 0.0000 0.4748
Pd1 0.0437 0.1814 0.7237
```

This entry pairs a crystal structure of AgHg2Pd6 with its theoretical XRD peak list. Radiation: CuKα. Structure: a structure optimized by DFT (GGA-PBE).
Neutral-atom scattering factors, no anomalous dispersion.

The 10 most intense peaks (10° ≤ 2θ ≤ 80°), in order of rising 2θ:
2θ (°)	I/Imax	hkl
21.2	3	0 0 2
24.8	12	1 0 1
31.1	3	0 1 2
39.3	100	1 1 0
39.5	99	1 0 3
45.1	3	1 1 2
57.0	34	0 2 3
71.3	17	3 0 0
71.4	34	2 1 3
71.8	17	0 1 6

Crystal structure
```
data_AgHg2Pd6
_cell_length_a 4.5819
_cell_length_b 4.5819
_cell_length_c 8.3648
_cell_angle_alpha 90.00
_cell_angle_beta 90.00
_cell_angle_gamma 120.00
_symmetry_space_group_name_H-M 'P -3 m 1'
_symmetry_Int_Tables_number 164
_symmetry_space_group_name_Hall '-P 3 2"'
loop_
_atom_site_label
_atom_site_fract_x
_atom_site_fract_y
_atom_site_fract_z
Ag1 0.0000 0.0000 0.0000
Hg1 0.3333 0.6667 0.2260
Pd1 0.0000 0.0000 0.3370
Pd2 0.3333 0.6667 0.5553
Pd3 0.3333 0.6667 0.8882
```

This entry pairs a crystal structure of Ag5Hg2Pd5 with its theoretical XRD peak list. Radiation: CuKα. Structure: a structure optimized by DFT (GGA-PBE).
Neutral-atom scattering factors, no anomalous dispersion.

The 10 most intense peaks (10° ≤ 2θ ≤ 80°), in order of rising 2θ:
2θ (°)	I/Imax	hkl
37.9	100	3 1 1
38.1	99	3 1 -3
43.4	35	0 2 0
44.1	32	0 0 4
44.9	30	6 0 -2
63.6	21	0 2 4
64.3	21	6 2 -2
76.0	13	3 3 1
76.1	13	3 3 -3
76.8	12	3 1 5

Crystal structure
```
data_Ag5Hg2Pd5
_cell_length_a 12.100
_cell_length_b 4.167
_cell_length_c 9.126
_cell_angle_alpha 90.00
_cell_angle_beta 115.80
_cell_angle_gamma 90.00
_symmetry_space_group_name_H-M 'C 1 2/m 1'
_symmetry_Int_Tables_number 12
loop_
_symmetry_equiv_pos_as_xyz
'x,y,z'
'-x,-y,-z'
'-x,y,-z'
'x,-y,z'
'x+1/2,y+1/2,z'
'-x+1/2,-y+1/2,-z'
'-x+1/2,y+1/2,-z'
'x+1/2,-y+1/2,z'
loop_
_atom_site_label
_atom_site_fract_x
_atom_site_fract_y
_atom_site_fract_z
Ag1 0.000 0.000 0.000
Ag2 0.090 0.000 0.753
Ag3 0.165 0.000 0.502
Hg1 0.084 0.500 0.248
Pd1 0.000 0.500 0.500
Pd2 0.168 0.500 0.999
Pd3 0.250 0.000 0.247
```